(1)
Structure and theoretical powder XRD pattern of Dy2Al2Si2C (the GGA-PBE geometry in Alexandria; Cu Kα (λ = 1.5418 Å)).
Kinematic intensities with the Lorentz-polarization factor, no thermal factor.

Principal peaks in the range 5° ≤ 2θ ≤ 70°, low angle first:
3.961 Å, I = 50, hkl 1 0 1
3.153 Å, I = 100, hkl 1 0 3
2.908 Å, I = 66, hkl 1 1 0
2.705 Å, I = 35, hkl 1 1 2
2.455 Å, I = 28, hkl 0 0 6
2.282 Å, I = 51, hkl 1 1 4
2.056 Å, I = 43, hkl 2 0 0
1.875 Å, I = 37, hkl 1 1 6
1.722 Å, I = 37, hkl 2 1 3
1.576 Å, I = 28, hkl 2 0 6

Crystal structure
```
Dy2Al2Si2C
1.0
4.1128 0.0000 0.0000
0.0000 4.1128 0.0000
0.0000 0.0000 14.7300
Dy Al Si C
4 4 4 2
direct
0.0000 0.0000 0.1618
0.0000 0.0000 0.8382
0.5000 0.5000 0.3382
0.5000 0.5000 0.6618
0.0000 0.5000 0.0000
0.0000 0.5000 0.5000
0.5000 0.0000 0.0000
0.5000 0.0000 0.5000
0.0000 0.0000 0.3705
0.0000 0.0000 0.6295
0.5000 0.5000 0.1295
0.5000 0.5000 0.8705
0.0000 0.0000 0.0000
0.5000 0.5000 0.5000
```

(2)
Structure and theoretical powder XRD pattern of DyAl2Tc2C (the GGA-PBE geometry in Alexandria; Cu Kα (λ = 1.5418 Å)).
Kinematic intensities with the Lorentz-polarization factor, no thermal factor.

Principal peaks in the range 5° ≤ 2θ ≤ 70°, low angle first:
4.178 Å, I = 18, hkl 1 0 0
3.326 Å, I = 30, hkl 1 0 1
2.749 Å, I = 23, hkl 0 0 2
2.602 Å, I = 100, hkl 1 1 1
2.296 Å, I = 27, hkl 1 0 2
2.089 Å, I = 37, hkl 2 0 0
1.663 Å, I = 20, hkl 2 0 2
1.557 Å, I = 18, hkl 1 1 3
1.545 Å, I = 15, hkl 2 1 2
1.477 Å, I = 12, hkl 2 2 0

Crystal structure
```
DyAl2Tc2C
1.0
4.1776 0.0000 0.0000
0.0000 4.1776 0.0000
0.0000 0.0000 5.4982
Dy Al Tc C
1 2 2 1
direct
0.0000 0.0000 0.0000
0.5000 0.5000 0.2303
0.5000 0.5000 0.7697
0.0000 0.5000 0.5000
0.5000 0.0000 0.5000
0.0000 0.0000 0.5000
```

Copy entry 1 word for word.
Structure and theoretical powder XRD pattern of Dy2Al2Si2C (the GGA-PBE geometry in Alexandria; Cu Kα (λ = 1.5418 Å)).
Kinematic intensities with the Lorentz-polarization factor, no thermal factor.

Principal peaks in the range 5° ≤ 2θ ≤ 70°, low angle first:
3.961 Å, I = 50, hkl 1 0 1
3.153 Å, I = 100, hkl 1 0 3
2.908 Å, I = 66, hkl 1 1 0
2.705 Å, I = 35, hkl 1 1 2
2.455 Å, I = 28, hkl 0 0 6
2.282 Å, I = 51, hkl 1 1 4
2.056 Å, I = 43, hkl 2 0 0
1.875 Å, I = 37, hkl 1 1 6
1.722 Å, I = 37, hkl 2 1 3
1.576 Å, I = 28, hkl 2 0 6

Crystal structure
```
Dy2Al2Si2C
1.0
4.1128 0.0000 0.0000
0.0000 4.1128 0.0000
0.0000 0.0000 14.7300
Dy Al Si C
4 4 4 2
direct
0.0000 0.0000 0.1618
0.0000 0.0000 0.8382
0.5000 0.5000 0.3382
0.5000 0.5000 0.6618
0.0000 0.5000 0.0000
0.0000 0.5000 0.5000
0.5000 0.0000 0.0000
0.5000 0.0000 0.5000
0.0000 0.0000 0.3705
0.0000 0.0000 0.6295
0.5000 0.5000 0.1295
0.5000 0.5000 0.8705
0.0000 0.0000 0.0000
0.5000 0.5000 0.5000
```